The following is a theoretical X-ray powder pattern of Cu2TcGe2. It was derived from a cell relaxed with PBE, using copper Kα.
Kinematic intensities with the Lorentz-polarization factor, no thermal factor.

Top 8 peaks for 2θ from 15° to 90°, in order of rising 2θ:
| Position (°2θ) | intensity |
| --- | --- |
| 25.95 | 15 |
| 33.67 | 49 |
| 41.18 | 100 |
| 43.00 | 69 |
| 47.39 | 21 |
| 56.24 | 37 |
| 73.32 | 27 |
| 81.51 | 24 |

Structural model:
```
data_Cu2TcGe2
_cell_length_a 3.2711
_cell_length_b 3.2711
_cell_length_c 13.7345
_cell_angle_alpha 90.00
_cell_angle_beta 90.00
_cell_angle_gamma 90.00
_symmetry_space_group_name_H-M 'I 4/m m m'
_symmetry_Int_Tables_number 139
_symmetry_space_group_name_Hall '-I 4 2'
loop_
_atom_site_label
_atom_site_type_symbol
_atom_site_fract_x
_atom_site_fract_y
_atom_site_fract_z
_atom_site_occupancy
Cu1 Cu 0.0000 0.5000 0.2500 1
Tc1 Tc 0.0000 0.0000 0.0000 1
Ge1 Ge 0.0000 0.0000 0.3989 1
```